Diffraction record for NaMgTi2BiO6. The powder diffraction line list is simulated, not measured: it uses a cell relaxed with PBE and CuKα.
Lines closer than 0.1° are merged.

Top 12 peaks for 2θ from 15° to 90°, by angle:
d (Å)  two_theta  I_rel  index
5.055  17.5  100  0 1 0
4.682  19.0  69  0 1 -1
3.301  27.0  33  1 1 0
3.114  28.7  28  1 -1 1
3.100  28.8  28  -1 1 1
3.012  29.7  58  0 1 1
2.915  30.7  23  1 1 -2
2.770  32.3  43  0 2 -1
2.762  32.4  27  2 0 -1
2.539  35.3  21  0 0 2
2.119  42.7  16  1 2 0
1.964  46.2  30  2 -2 0

Structural model:
```
NaMgTi2BiO6
1.0
5.549 0.000 0.000
-0.003 5.559 0.000
-2.292 -2.331 5.078
Na Mg Ti Bi O
1 1 2 1 6
Cartesian
0.000 0.000 0.000
0.479 0.438 3.437
0.517 3.205 3.842
3.237 0.488 3.855
3.249 3.225 1.422
-0.116 3.145 0.529
-0.926 1.816 3.340
-0.897 -0.935 3.736
1.882 1.843 3.165
3.111 -0.161 0.515
1.856 -0.970 3.362
```